Entry 1:
The following is a computed X-ray powder pattern of Ac5PmRu3. It was derived from a cell relaxed with PBE, using Cu Kα (weighted mean of Kα1 and Kα2).
Neutral-atom scattering factors, no anomalous dispersion.

Structure:
Unit cell a=6.926 b=4.378 c=20.741 alpha=90.00 beta=91.39 gamma=90.00
Sites, in units of the cell vectors:
Ac (0.180, 0.000, 0.404)
Ac (0.222, 0.000, 0.063)
Ac (0.272, 0.500, 0.892)
Ac (0.305, 0.500, 0.235)
Ac (0.318, 0.500, 0.573)
Ac (0.682, 0.500, 0.427)
Ac (0.695, 0.500, 0.765)
Ac (0.728, 0.500, 0.108)
Ac (0.778, 0.000, 0.937)
Ac (0.820, 0.000, 0.596)
Pm (0.197, 0.000, 0.733)
Pm (0.803, 0.000, 0.267)
Ru (0.000, 0.500, 0.000)
Ru (0.008, 0.500, 0.669)
Ru (0.493, 0.000, 0.834)
Ru (0.500, 0.000, 0.500)
Ru (0.507, 0.000, 0.166)
Ru (0.992, 0.500, 0.331)

The 10 most intense peaks (15° ≤ 2θ ≤ 90°), in order of rising 2θ:
d = 3.459 Å, 25.76 deg, I = 417
d = 3.280 Å, 27.19 deg, I = 1000
d = 3.245 Å, 27.49 deg, I = 971
d = 3.124 Å, 28.57 deg, I = 349
d = 3.064 Å, 29.14 deg, I = 297
d = 2.543 Å, 35.29 deg, I = 356
d = 2.510 Å, 35.77 deg, I = 279
d = 2.189 Å, 41.24 deg, I = 325
d = 2.042 Å, 44.37 deg, I = 339
d = 2.039 Å, 44.43 deg, I = 363

---

Entry 2:
The following is a computed X-ray powder pattern of AcPm4Ru. It was derived from a cell relaxed with PBE, using Cu Kα (weighted mean of Kα1 and Kα2).
Neutral-atom scattering factors, no anomalous dispersion.

Structure:
Unit cell a=9.803 b=9.803 c=9.803 alpha=143.18 beta=133.87 gamma=60.42
Sites, in units of the cell vectors:
Ac (0.201, 0.201, 0.000)
Ac (0.799, 0.799, 0.000)
Pm (0.151, 0.392, 0.758)
Pm (0.210, 0.000, 0.210)
Pm (0.336, 0.836, 0.500)
Pm (0.366, 0.608, 0.758)
Pm (0.634, 0.392, 0.242)
Pm (0.664, 0.164, 0.500)
Pm (0.790, 0.000, 0.790)
Pm (0.849, 0.608, 0.242)
Ru (0.500, 0.258, 0.758)
Ru (0.500, 0.742, 0.242)

The 10 most intense peaks (15° ≤ 2θ ≤ 90°), in order of rising 2θ:
d = 3.498 Å, 25.46 deg, I = 259
d = 3.205 Å, 27.84 deg, I = 206
d = 3.096 Å, 28.84 deg, I = 437
d = 2.973 Å, 30.06 deg, I = 764
d = 2.826 Å, 31.66 deg, I = 1000
d = 2.318 Å, 38.85 deg, I = 451
d = 1.763 Å, 51.87 deg, I = 179
d = 1.731 Å, 52.91 deg, I = 202
d = 1.613 Å, 57.10 deg, I = 203
d = 1.591 Å, 57.97 deg, I = 201

---

Entry 3:
The following is a computed X-ray powder pattern of Ac5Pm3S8. It was derived from a cell relaxed with PBE, using Cu Kα (weighted mean of Kα1 and Kα2).
Neutral-atom scattering factors, no anomalous dispersion.

Structure:
Unit cell a=8.424 b=8.424 c=8.424 alpha=59.82 beta=59.82 gamma=59.82
Sites, in units of the cell vectors:
Ac (0.000, 0.000, 0.000)
Ac (0.000, 0.500, 0.500)
Ac (0.500, 0.000, 0.500)
Ac (0.500, 0.500, 0.000)
Ac (0.500, 0.500, 0.500)
Pm (0.000, 0.000, 0.500)
Pm (0.000, 0.500, 0.000)
Pm (0.500, 0.000, 0.000)
S (0.237, 0.750, 0.750)
S (0.244, 0.244, 0.244)
S (0.250, 0.250, 0.763)
S (0.250, 0.763, 0.250)
S (0.750, 0.237, 0.750)
S (0.750, 0.750, 0.237)
S (0.756, 0.756, 0.756)
S (0.763, 0.250, 0.250)

The 10 most intense peaks (15° ≤ 2θ ≤ 90°), in order of rising 2θ:
d = 3.434 Å, 25.94 deg, I = 938
d = 2.974 Å, 30.04 deg, I = 1000
d = 2.106 Å, 42.94 deg, I = 373
d = 2.100 Å, 43.07 deg, I = 373
d = 1.797 Å, 50.82 deg, I = 124
d = 1.792 Å, 50.95 deg, I = 366
d = 1.716 Å, 53.41 deg, I = 198
d = 1.332 Å, 70.75 deg, I = 170
d = 1.329 Å, 70.93 deg, I = 171
d = 1.213 Å, 78.90 deg, I = 192

---

Entry 4:
The following is a computed X-ray powder pattern of Ac3Pm4S8. It was derived from a cell relaxed with PBE, using Cu Kα (weighted mean of Kα1 and Kα2).
Neutral-atom scattering factors, no anomalous dispersion.

Structure:
Unit cell a=8.323 b=8.323 c=8.245 alpha=119.64 beta=119.64 gamma=90.06
Sites, in units of the cell vectors:
Ac (0.000, 0.000, 0.000)
Ac (0.000, 0.500, 0.500)
Ac (0.500, 0.000, 0.500)
Pm (0.000, 0.500, 0.000)
Pm (0.500, 0.000, 0.000)
Pm (0.500, 0.500, 0.000)
Pm (0.500, 0.500, 0.500)
S (0.256, 0.744, 0.000)
S (0.257, 0.743, 0.500)
S (0.261, 0.261, 0.011)
S (0.264, 0.264, 0.512)
S (0.736, 0.736, 0.488)
S (0.739, 0.739, 0.989)
S (0.743, 0.257, 0.500)
S (0.744, 0.256, 0.000)

The 10 most intense peaks (15° ≤ 2θ ≤ 90°), in order of rising 2θ:
d = 5.883 Å, 15.06 deg, I = 139
d = 3.421 Å, 26.05 deg, I = 402
d = 3.377 Å, 26.39 deg, I = 388
d = 2.943 Å, 30.37 deg, I = 1000
d = 2.101 Å, 43.05 deg, I = 126
d = 2.081 Å, 43.48 deg, I = 492
d = 1.766 Å, 51.78 deg, I = 135
d = 1.710 Å, 53.58 deg, I = 132
d = 1.689 Å, 54.33 deg, I = 128
d = 1.317 Å, 71.67 deg, I = 167